[1]
Starting from a structure optimized by DFT (GGA-PBE), the X-ray powder pattern of Mg3Ga3Ni was simulated for Cu Ka.
Neutral-atom scattering factors, no anomalous dispersion.

Cell: 9.831 3.972 13.820 Å, 90.00 107.99 90.00°
Space group C2/m (No. 12)
Asymmetric unit:
1 Mg 0.019 0.000 0.382
2 Mg 0.106 0.000 0.918
3 Mg 0.247 0.000 0.242
4 Ga 0.028 0.500 0.237
5 Ga 0.116 0.500 0.078
6 Ga 0.148 0.500 0.537
7 Ni 0.234 0.500 0.387

The 10 most intense peaks (15 to 90 degrees two-theta), low angle first:
index	2θ/deg	d_spacing	I (rel.)
2 0 -1	18.07	4.909	58
1 1 0	24.35	3.656	78
2 0 -4	27.95	3.192	35
1 1 3	33.78	2.654	44
1 1 -4	34.42	2.605	69
3 1 -4	40.19	2.244	36
0 0 6	41.22	2.190	34
3 1 2	42.36	2.134	100
4 0 -5	43.12	2.098	41
0 2 0	45.68	1.986	56

[2]
Starting from a structure optimized by DFT (GGA-PBE), the X-ray powder pattern of Sr13Ir2 was simulated for Cu Ka.
Neutral-atom scattering factors, no anomalous dispersion.

Cell: 7.396 9.539 11.287 Å, 65.10 83.74 82.72°
Space group P-1 (No. 2)
Asymmetric unit:
1 Sr 0.000 0.000 0.000
2 Sr 0.082 0.853 0.695
3 Sr 0.142 0.700 0.381
4 Sr 0.232 0.535 0.079
5 Sr 0.304 0.377 0.769
6 Sr 0.377 0.228 0.470
7 Sr 0.473 0.070 0.158
8 Ir 0.192 0.116 0.732

The 10 most intense peaks (15 to 90 degrees two-theta), low angle first:
index	2θ/deg	d_spacing	I (rel.)
2 1 0	25.56	3.485	50
1 0 -3	29.59	3.018	100
1 -1 4	42.32	2.136	39
0 3 5	42.38	2.133	37
0 1 6	50.11	1.821	15
0 4 -2	52.49	1.743	13
4 2 0	52.53	1.742	13
0 1 -7	69.58	1.351	14
3 3 -4	69.69	1.349	14
1 2 9	77.46	1.232	17